The following is a theoretical powder X-ray diffraction pattern of Nb2Fe2Bi. It was derived from a cell relaxed with GGA-PBE, using λ = 1.5418 Å (Cu Kα).
Kinematic intensities with the Lorentz-polarization factor, no thermal factor.

Main lines, low angle first (2θ from 15° to 90°):
(1 1 0), 17.0°, intensity 17
(2 0 0), 24.1°, intensity 21
(1 1 1), 34.0°, intensity 46
(2 2 0), 34.4°, intensity 26
(2 0 1), 38.3°, intensity 52
(3 1 0), 38.6°, intensity 100
(2 1 1), 40.2°, intensity 68
(3 1 1), 49.2°, intensity 19
(4 2 0), 55.8°, intensity 17
(3 3 1), 61.4°, intensity 19
(5 1 1), 72.3°, intensity 16
(3 1 2), 74.2°, intensity 29

Crystal structure
```
Nb2Fe2Bi
1.0
7.3724 0.0000 0.0000
0.0000 7.3724 0.0000
0.0000 0.0000 3.0557
Nb Fe Bi
4 4 2
direct
0.1527 0.3473 0.0000
0.3473 0.8473 0.0000
0.6527 0.1527 0.0000
0.8473 0.6527 0.0000
0.1284 0.6284 0.5000
0.3716 0.1284 0.5000
0.6284 0.8716 0.5000
0.8716 0.3716 0.5000
0.0000 0.0000 0.5000
0.5000 0.5000 0.5000
```